Structure and theoretical X-ray powder pattern of Pm2NpMoO8 (a structure optimized by DFT (GGA+U); Cu Ka).
Intensities are scaled so that the largest is 100.

Main lines, low angle first (2θ = 15–90°):
hkl 2 0 0, 24.1°, rel. 100.0; hkl 0 2 0, 25.0°, rel. 84.8; hkl 1 1 -2, 31.1°, rel. 82.9; hkl 1 1 2, 31.4°, rel. 78.1; hkl 2 2 0, 35.0°, rel. 49.1; hkl 3 1 -2, 46.8°, rel. 35.8

Structural model:
```
data_Pm2NpMoO8
_symmetry_space_group_name_H-M 'C 1 2/m 1'
_symmetry_Int_Tables_number 12
_symmetry_space_group_name_Hall '-C 2y'
_cell_length_a 7.3939
_cell_length_b 7.1262
_cell_length_c 6.8898
_cell_angle_alpha 90.00
_cell_angle_beta 90.91
_cell_angle_gamma 90.00
loop_
_atom_site_label
_atom_site_fract_x
_atom_site_fract_y
_atom_site_fract_z
Pm1 0.0027 0.0000 0.2587
Np1 0.0000 0.5000 0.0000
Mo1 0.0000 0.5000 0.5000
O1 0.0000 0.2168 0.0000
O2 0.0000 0.2177 0.5000
O3 0.1745 0.5000 0.7472
O4 0.1765 0.5000 0.2422
```